Structure and simulated X-ray powder pattern of TmAgTe3Pb (DFT lattice parameters and positions (GGA-PBE); Cu Kα X-rays).
Kinematic intensities with the Lorentz-polarization factor, no thermal factor.

Crystal structure
```
TmAgTe3Pb
1.0
14.598 0.000 0.000
0.000 4.331 0.000
0.000 0.000 11.578
Tm Ag Te Pb
4 4 12 4
direct
0.011 0.250 0.176
0.489 0.750 0.676
0.511 0.250 0.324
0.989 0.750 0.824
0.008 0.750 0.413
0.492 0.250 0.913
0.508 0.750 0.087
0.992 0.250 0.587
0.107 0.250 0.940
0.121 0.750 0.624
0.149 0.750 0.244
0.351 0.250 0.744
0.379 0.250 0.124
0.393 0.750 0.440
0.607 0.250 0.560
0.621 0.750 0.876
0.649 0.750 0.256
0.851 0.250 0.756
0.879 0.250 0.376
0.893 0.750 0.060
0.221 0.250 0.448
0.279 0.750 0.948
0.721 0.250 0.052
0.779 0.750 0.552
```

The 10 most intense peaks (2θ = 15–90°), most intense first:
2θ (°)  intensity
31.68  1000
28.65  865
33.43  554
41.71  436
28.50  393
31.54  349
69.90  268
26.12  257
40.38  240
44.00  213

Structure and simulated X-ray powder pattern of Dy2Os2O5 (DFT lattice parameters and positions (GGA-PBE); Cu Kα X-rays).
Kinematic intensities with the Lorentz-polarization factor, no thermal factor.

Crystal structure
```
Dy2Os2O5
1.0
3.538 0.000 0.000
0.000 3.538 0.000
0.000 0.000 9.351
Dy Os O
2 2 5
direct
0.000 0.000 0.236
0.000 0.000 0.764
0.500 0.500 0.000
0.500 0.500 0.500
0.000 0.000 0.000
0.000 0.500 0.376
0.000 0.500 0.624
0.500 0.000 0.376
0.500 0.000 0.624
```

The 10 most intense peaks (2θ = 15–90°), most intense first:
2θ (°)  intensity
31.71  1000
35.89  331
61.91  308
53.66  282
51.67  167
38.51  135
65.44  114
66.25  113
87.94  108
84.77  65

Structure and simulated X-ray powder pattern of NdErZnCo2 (DFT lattice parameters and positions (GGA-PBE); Cu Kα X-rays).
Kinematic intensities with the Lorentz-polarization factor, no thermal factor.

Crystal structure
```
NdErZnCo2
1.0
-2.057 2.731 4.167
2.057 -2.731 4.167
2.057 2.731 -4.167
Nd Er Zn Co
1 1 1 2
direct
0.000 0.000 0.000
0.585 0.585 0.000
0.295 0.795 0.500
0.579 0.288 0.291
0.998 0.288 0.709
```

The 10 most intense peaks (2θ = 15–90°), most intense first:
2θ (°)  intensity
34.77  1000
41.12  314
27.14  295
44.03  240
39.45  237
36.28  223
69.96  215
39.13  200
32.79  158
59.83  149

Structure and simulated X-ray powder pattern of Zr3Cd (DFT lattice parameters and positions (GGA-PBE); Cu Kα X-rays).
Kinematic intensities with the Lorentz-polarization factor, no thermal factor.

Crystal structure
```
Zr3Cd
1.0
6.293 0.000 0.000
-3.147 5.450 0.000
0.000 0.000 5.187
Zr Cd
6 2
direct
0.168 0.337 0.250
0.168 0.832 0.250
0.337 0.168 0.750
0.663 0.832 0.250
0.832 0.168 0.750
0.832 0.663 0.750
0.333 0.667 0.750
0.667 0.333 0.250
```

The 10 most intense peaks (2θ = 15–90°), most intense first:
2θ (°)  intensity
37.27  1000
34.58  274
32.87  236
69.93  197
63.74  197
58.68  170
48.45  154
71.60  138
79.45  34
82.35  31

Structure and simulated X-ray powder pattern of Ba2FeAsS6 (DFT lattice parameters and positions (GGA-PBE); Cu Kα X-rays).
Kinematic intensities with the Lorentz-polarization factor, no thermal factor.

Crystal structure
```
Ba2FeAsS6
1.0
0.000 4.830 4.830
4.830 0.000 4.830
4.830 4.830 0.000
Ba Fe As S
2 1 1 6
direct
0.250 0.250 0.250
0.750 0.750 0.750
0.000 0.000 0.000
0.500 0.500 0.500
0.244 0.244 0.756
0.244 0.756 0.244
0.244 0.756 0.756
0.756 0.244 0.244
0.756 0.244 0.756
0.756 0.756 0.244
```

The 10 most intense peaks (2θ = 15–90°), most intense first:
2θ (°)  intensity
26.09  1000
37.23  626
46.02  432
53.67  411
32.09  377
73.33  218
60.62  192
63.92  140
67.13  138
85.24  110

Structure and simulated X-ray powder pattern of DyGa2FePd4 (DFT lattice parameters and positions (GGA-PBE); Cu Kα X-rays).
Kinematic intensities with the Lorentz-polarization factor, no thermal factor.

Crystal structure
```
DyGa2FePd4
1.0
4.377 0.000 0.000
0.000 4.377 0.000
0.000 0.000 6.660
Dy Ga Fe Pd
1 2 1 4
direct
0.000 0.000 0.000
0.000 0.000 0.500
0.500 0.500 0.000
0.500 0.500 0.500
0.000 0.500 0.278
0.000 0.500 0.722
0.500 0.000 0.278
0.500 0.000 0.722
```

The 10 most intense peaks (2θ = 15–90°), most intense first:
2θ (°)  intensity
39.76  1000
41.25  481
74.20  305
59.76  157
71.15  141
31.88  94
85.70  86
55.16  77
59.30  58
89.58  52

Number 1 is which compound?
TmAgTe3Pb